Diffraction record for CrH17N4Cl2O3. The XRD peak list is calculated, not measured: it uses the GGA+U geometry in the Materials Project and Cu Ka.
Peak positions follow from Bragg's law for the DFT cell and can differ from measured ones.

The 10 most intense peaks (5° ≤ 2θ ≤ 70°), in order of rising 2θ:
- (0 0 1), 2θ = 8.9°, I 100.0
- (0 1 0), 2θ = 11.7°, I 69.1
- (1 0 0), 2θ = 14.1°, I 63.8
- (1 -1 0), 2θ = 15.5°, I 66.6
- (1 1 -1), 2θ = 20.3°, I 51.2
- (2 -1 0), 2θ = 27.4°, I 68.3
- (0 1 -3), 2θ = 27.9°, I 41.8
- (2 0 -3), 2θ = 32.8°, I 55.4
- (1 0 3), 2θ = 34.2°, I 46.7
- (0 3 0), 2θ = 35.6°, I 87.1

Cell and atoms:
```
CrH17N4Cl2O3
1.0
6.836 0.000 0.000
-2.143 7.636 0.000
-2.904 -1.304 9.951
Cr H N Cl O
2 34 8 4 6
direct
0.011 0.008 0.150
0.989 0.992 0.850
0.014 0.665 0.881
0.046 0.681 0.129
0.077 0.300 0.758
0.111 0.331 0.279
0.191 0.058 0.664
0.213 0.337 0.919
0.238 0.100 0.408
0.243 0.345 0.169
0.255 0.610 0.452
0.256 0.887 0.734
0.268 0.913 0.040
0.288 0.917 0.358
0.328 0.572 0.693
0.363 0.092 0.815
0.394 0.672 0.841
0.396 0.114 0.313
0.460 0.672 0.407
0.540 0.328 0.593
0.604 0.886 0.687
0.606 0.328 0.159
0.637 0.908 0.185
0.672 0.428 0.307
0.712 0.083 0.642
0.732 0.087 0.960
0.744 0.113 0.266
0.745 0.390 0.548
0.757 0.655 0.831
0.762 0.900 0.592
0.787 0.663 0.081
0.809 0.942 0.336
0.889 0.669 0.721
0.923 0.700 0.242
0.954 0.319 0.871
0.986 0.335 0.119
0.069 0.269 0.851
0.098 0.287 0.182
0.224 0.004 0.752
0.261 0.033 0.329
0.739 0.967 0.671
0.776 0.996 0.248
0.902 0.713 0.818
0.931 0.731 0.149
0.191 0.326 0.547
0.348 0.670 0.042
0.652 0.330 0.958
0.809 0.674 0.453
0.200 0.010 0.032
0.319 0.690 0.396
0.396 0.689 0.748
0.604 0.311 0.252
0.681 0.310 0.604
0.800 0.990 0.968
```

Diffraction record for K2Cr2HgCl2O7. The XRD peak list is calculated, not measured: it uses the GGA+U geometry in the Materials Project and Cu Ka.
Peak positions follow from Bragg's law for the DFT cell and can differ from measured ones.

The 10 most intense peaks (5° ≤ 2θ ≤ 70°), in order of rising 2θ:
- (0 1 1), 2θ = 10.8°, I 85.2
- (0 0 2), 2θ = 13.9°, I 50.0
- (2 0 -2), 2θ = 21.3°, I 25.7
- (0 2 2), 2θ = 21.7°, I 35.7
- (0 1 3), 2θ = 22.5°, I 47.4
- (2 0 0), 2θ = 24.9°, I 29.1
- (0 3 1), 2θ = 26.0°, I 100.0
- (2 1 1), 2θ = 30.5°, I 32.2
- (2 0 -6), 2θ = 36.2°, I 30.5
- (2 3 -5), 2θ = 40.1°, I 23.2

Cell and atoms:
```
K2Cr2HgCl2O7
1.0
8.361 0.000 0.000
0.000 10.653 0.000
-7.777 0.000 12.757
K Cr Hg Cl O
8 8 4 8 28
direct
0.088 0.172 0.339
0.088 0.328 0.839
0.379 0.655 0.131
0.379 0.845 0.631
0.621 0.155 0.369
0.621 0.345 0.869
0.912 0.672 0.161
0.912 0.828 0.661
0.159 0.166 0.614
0.159 0.334 0.114
0.437 0.663 0.889
0.437 0.837 0.389
0.563 0.163 0.611
0.563 0.337 0.111
0.841 0.666 0.886
0.841 0.834 0.386
0.000 0.000 0.000
0.000 0.500 0.500
0.500 0.000 0.000
0.500 0.500 0.500
0.067 0.021 0.864
0.067 0.479 0.364
0.433 0.522 0.636
0.433 0.978 0.136
0.567 0.022 0.864
0.567 0.478 0.364
0.933 0.521 0.636
0.933 0.979 0.136
0.003 0.241 0.507
0.003 0.259 0.007
0.068 0.038 0.629
0.068 0.462 0.129
0.235 0.242 0.216
0.235 0.258 0.716
0.308 0.744 0.783
0.308 0.756 0.283
0.330 0.534 0.887
0.330 0.966 0.387
0.348 0.116 0.599
0.348 0.384 0.099
0.487 0.747 0.994
0.487 0.753 0.494
0.513 0.247 0.506
0.513 0.253 0.006
0.652 0.616 0.901
0.652 0.884 0.401
0.670 0.034 0.613
0.670 0.466 0.113
0.692 0.244 0.717
0.692 0.256 0.217
0.765 0.742 0.284
0.765 0.758 0.784
0.932 0.538 0.871
0.932 0.962 0.371
0.997 0.741 0.993
0.997 0.759 0.493
```

Diffraction record for Cr2HgN2Cl2O7. The XRD peak list is calculated, not measured: it uses the GGA+U geometry in the Materials Project and Cu Ka.
Peak positions follow from Bragg's law for the DFT cell and can differ from measured ones.

The 10 most intense peaks (5° ≤ 2θ ≤ 70°), in order of rising 2θ:
- (0 0 2), 2θ = 11.4°, I 100.0
- (1 0 -2), 2θ = 13.5°, I 48.5
- (1 1 -1), 2θ = 14.7°, I 63.6
- (0 1 2), 2θ = 15.8°, I 63.0
- (2 0 2), 2θ = 21.9°, I 34.9
- (1 2 -1), 2θ = 24.0°, I 26.4
- (1 2 1), 2θ = 24.5°, I 87.9
- (3 0 0), 2θ = 26.2°, I 47.0
- (2 2 -1), 2θ = 28.3°, I 49.4
- (3 1 -2), 2θ = 29.5°, I 24.9

Cell and atoms:
```
Cr2HgN2Cl2O7
1.0
10.275 0.000 0.000
0.000 8.114 0.000
-1.834 0.000 15.579
Cr Hg N Cl O
8 4 8 8 28
direct
0.024 0.188 0.121
0.024 0.312 0.621
0.283 0.124 0.026
0.283 0.376 0.526
0.717 0.624 0.474
0.717 0.876 0.974
0.976 0.688 0.379
0.976 0.812 0.879
0.339 0.613 0.938
0.339 0.887 0.438
0.661 0.113 0.562
0.661 0.387 0.062
0.035 0.689 0.137
0.035 0.811 0.637
0.380 0.103 0.791
0.380 0.397 0.291
0.620 0.603 0.709
0.620 0.897 0.209
0.965 0.189 0.363
0.965 0.311 0.863
0.304 0.604 0.790
0.304 0.896 0.290
0.387 0.624 0.087
0.387 0.876 0.587
0.613 0.124 0.413
0.613 0.376 0.913
0.696 0.104 0.710
0.696 0.396 0.210
0.063 0.685 0.945
0.063 0.815 0.445
0.079 0.570 0.336
0.079 0.930 0.836
0.106 0.203 0.696
0.106 0.297 0.196
0.134 0.068 0.066
0.134 0.432 0.566
0.259 0.220 0.460
0.259 0.280 0.960
0.340 0.532 0.474
0.340 0.968 0.974
0.394 0.178 0.104
0.394 0.322 0.604
0.606 0.678 0.396
0.606 0.822 0.896
0.660 0.032 0.026
0.660 0.468 0.526
0.741 0.720 0.040
0.741 0.780 0.540
0.866 0.568 0.434
0.866 0.932 0.934
0.894 0.703 0.804
0.894 0.797 0.304
0.921 0.070 0.164
0.921 0.430 0.664
0.937 0.185 0.555
0.937 0.315 0.055
```